Structure and calculated powder diffractogram of Ca2BiBr (a cell relaxed with PBE; Cu Kα (λ = 1.5418 Å)).

Top 10 peaks for 10° ≤ 2θ ≤ 90°, by angle:
- 17.12 deg, d = 5.180 Å, intensity 55
- 23.01 deg, d = 3.864 Å, intensity 41
- 24.01 deg, d = 3.706 Å, intensity 45
- 25.98 deg, d = 3.429 Å, intensity 100
- 29.56 deg, d = 3.022 Å, intensity 47
- 36.14 deg, d = 2.485 Å, intensity 58
- 38.37 deg, d = 2.346 Å, intensity 23
- 39.75 deg, d = 2.267 Å, intensity 64
- 49.18 deg, d = 1.853 Å, intensity 30
- 70.31 deg, d = 1.339 Å, intensity 24

Crystal structure
```
Ca2BiBr
1.0
6.045 0.000 0.000
0.000 10.051 0.000
0.000 0.000 4.692
Ca Bi Br
4 2 2
Direct
0.000 0.060 0.000
0.000 0.634 0.000
0.500 0.366 0.500
0.500 0.940 0.500
0.000 0.844 0.500
0.500 0.156 0.000
0.000 0.427 0.497
0.500 0.573 0.997
```


Structure and calculated powder diffractogram of Cd3BiBr (a cell relaxed with PBE; Cu Kα (λ = 1.5418 Å)).

Top 10 peaks for 10° ≤ 2θ ≤ 90°, by angle:
- 15.51 deg, d = 5.713 Å, intensity 64
- 21.15 deg, d = 4.201 Å, intensity 61
- 26.04 deg, d = 3.422 Å, intensity 100
- 31.31 deg, d = 2.857 Å, intensity 70
- 34.02 deg, d = 2.635 Å, intensity 54
- 39.10 deg, d = 2.304 Å, intensity 37
- 40.08 deg, d = 2.250 Å, intensity 65
- 43.07 deg, d = 2.100 Å, intensity 29
- 62.42 deg, d = 1.488 Å, intensity 24
- 66.81 deg, d = 1.400 Å, intensity 28

Crystal structure
```
Cd3BiBr
1.0
3.897 2.250 7.156
-3.897 2.250 7.156
0.000 -4.499 7.156
Cd Bi Br
6 2 2
Direct
0.000 0.378 0.622
0.122 0.878 0.500
0.378 0.622 0.000
0.500 0.122 0.878
0.622 0.000 0.378
0.878 0.500 0.122
0.250 0.250 0.250
0.750 0.750 0.750
0.000 0.000 0.000
0.500 0.500 0.500
```


Structure and calculated powder diffractogram of TlCd2BiBr8 (a cell relaxed with PBE; Cu Kα (λ = 1.5418 Å)).

Top 10 peaks for 10° ≤ 2θ ≤ 90°, by angle:
- 17.26 deg, d = 5.137 Å, intensity 100
- 19.76 deg, d = 4.493 Å, intensity 83
- 21.64 deg, d = 4.107 Å, intensity 65
- 27.52 deg, d = 3.241 Å, intensity 57
- 27.64 deg, d = 3.227 Å, intensity 62
- 27.88 deg, d = 3.200 Å, intensity 59
- 30.69 deg, d = 2.913 Å, intensity 50
- 37.02 deg, d = 2.428 Å, intensity 50
- 38.65 deg, d = 2.330 Å, intensity 49
- 40.13 deg, d = 2.247 Å, intensity 52

Crystal structure
```
TlCd2BiBr8
1.0
6.903 0.000 0.000
1.069 6.833 0.000
1.517 1.251 9.319
Tl Cd Bi Br
1 2 1 8
Direct
0.000 0.000 0.000
0.440 0.444 0.222
0.560 0.556 0.778
0.000 0.000 0.500
0.186 0.746 0.727
0.263 0.822 0.271
0.272 0.284 0.482
0.318 0.329 0.002
0.682 0.671 0.998
0.728 0.716 0.518
0.737 0.178 0.729
0.814 0.254 0.273
```


Structure and calculated powder diffractogram of CeBiBr6 (a cell relaxed with PBE; Cu Kα (λ = 1.5418 Å)).

Top 10 peaks for 10° ≤ 2θ ≤ 90°, by angle:
- 13.48 deg, d = 6.569 Å, intensity 74
- 16.73 deg, d = 5.299 Å, intensity 77
- 21.77 deg, d = 4.083 Å, intensity 30
- 29.12 deg, d = 3.067 Å, intensity 100
- 29.24 deg, d = 3.055 Å, intensity 23
- 30.88 deg, d = 2.896 Å, intensity 45
- 37.82 deg, d = 2.379 Å, intensity 29
- 42.06 deg, d = 2.148 Å, intensity 19
- 42.96 deg, d = 2.105 Å, intensity 69
- 53.08 deg, d = 1.725 Å, intensity 19

Crystal structure
```
CeBiBr6
1.0
7.208 0.000 0.000
0.000 13.138 0.000
-2.093 0.000 6.904
Ce Bi Br
2 2 12
Direct
0.000 0.000 0.000
0.500 0.500 0.000
0.000 0.500 0.500
0.500 0.000 0.500
0.245 0.350 0.748
0.245 0.650 0.748
0.248 0.000 0.746
0.252 0.500 0.254
0.255 0.150 0.252
0.255 0.850 0.252
0.745 0.150 0.748
0.745 0.850 0.748
0.748 0.500 0.746
0.752 0.000 0.254
0.755 0.350 0.252
0.755 0.650 0.252
```


Structure and calculated powder diffractogram of Bi2BrClO2 (a cell relaxed with PBE; Cu Kα (λ = 1.5418 Å)).

Top 10 peaks for 10° ≤ 2θ ≤ 90°, by angle:
- 10.14 deg, d = 8.724 Å, intensity 67
- 24.89 deg, d = 3.577 Å, intensity 32
- 30.66 deg, d = 2.916 Å, intensity 100
- 32.28 deg, d = 2.773 Å, intensity 42
- 38.50 deg, d = 2.338 Å, intensity 17
- 45.18 deg, d = 2.007 Å, intensity 13
- 46.31 deg, d = 1.961 Å, intensity 20
- 47.71 deg, d = 1.906 Å, intensity 12
- 53.45 deg, d = 1.714 Å, intensity 15
- 56.57 deg, d = 1.627 Å, intensity 39

Crystal structure
```
Bi2BrClO2
1.0
3.921 0.000 0.000
0.000 3.921 0.000
0.000 0.000 8.724
Bi Br Cl O
2 1 1 2
Direct
0.000 0.000 0.000
0.500 0.500 0.292
0.500 0.500 0.815
0.000 0.000 0.452
0.000 0.500 0.146
0.500 0.000 0.146
```


Structure and calculated powder diffractogram of Cs2CrBiBr6 (a cell relaxed with PBE; Cu Kα (λ = 1.5418 Å)).

Top 10 peaks for 10° ≤ 2θ ≤ 90°, by angle:
- 22.19 deg, d = 4.006 Å, intensity 85
- 26.09 deg, d = 3.416 Å, intensity 23
- 27.27 deg, d = 3.271 Å, intensity 65
- 31.52 deg, d = 2.838 Å, intensity 47
- 31.62 deg, d = 2.829 Å, intensity 93
- 38.94 deg, d = 2.313 Å, intensity 39
- 45.28 deg, d = 2.003 Å, intensity 100
- 56.25 deg, d = 1.635 Å, intensity 34
- 75.04 deg, d = 1.266 Å, intensity 29
- 83.68 deg, d = 1.156 Å, intensity 22

Crystal structure
```
Cs2CrBiBr6
1.0
-4.001 4.001 5.677
4.001 -4.001 5.677
4.001 4.001 -5.677
Cs Cr Bi Br
2 1 1 6
Direct
0.250 0.750 0.500
0.750 0.250 0.500
0.000 0.000 0.000
0.500 0.500 0.000
0.239 0.239 0.000
0.239 0.239 0.477
0.239 0.761 0.000
0.761 0.239 0.000
0.761 0.761 0.000
0.761 0.761 0.523
```